For Ac2In2Hg3, a structure optimized by DFT (PBE) gives the simulated powder XRD pattern in this record (Cu Kα (λ = 1.5418 Å)).
Lines closer than 0.1° are merged.

Atomic structure:
```
data_Ac2In2Hg3
_chemical_formula_sum 'Ac8 In8 Hg12'
_symmetry_space_group_name_H-M 'C m c m'
_symmetry_Int_Tables_number 63
_symmetry_space_group_name_Hall '-C 2c 2'
_cell_length_a 4.722
_cell_length_b 21.735
_cell_length_c 8.143
_cell_angle_alpha 90.00
_cell_angle_beta 90.00
_cell_angle_gamma 90.00
loop_
_atom_site_label
_atom_site_type_symbol
_atom_site_fract_x
_atom_site_fract_y
_atom_site_fract_z
Ac1 Ac 0.000 0.051 0.250
Ac2 Ac 0.000 0.157 0.750
In1 In 0.000 0.316 0.557
Hg1 Hg 0.000 0.224 0.250
Hg2 Hg 0.000 0.440 0.071
```

Principal peaks in the range 2θ from 5° to 70°, in order of rising 2θ:
2theta  I_rel
26.9  14.9
29.3  79.0
30.0  100.0
33.0  19.5
37.0  34.1
38.1  36.2
40.3  15.9
41.6  20.4
47.8  13.6
54.2  23.0
63.9  12.1
64.2  19.1


For CsDyHg, a structure optimized by DFT (PBE) gives the simulated powder XRD pattern in this record (Cu Kα (λ = 1.5418 Å)).
Lines closer than 0.1° are merged.

Atomic structure:
```
data_CsDyHg
_chemical_formula_sum 'Cs4 Dy4 Hg4'
_symmetry_space_group_name_H-M 'A m m 2'
_symmetry_Int_Tables_number 38
_symmetry_space_group_name_Hall 'A 2 -2'
_cell_length_a 17.623
_cell_length_b 4.034
_cell_length_c 6.985
_cell_angle_alpha 90.00
_cell_angle_beta 90.00
_cell_angle_gamma 90.00
loop_
_atom_site_label
_atom_site_type_symbol
_atom_site_fract_x
_atom_site_fract_y
_atom_site_fract_z
Cs1 Cs 0.170 0.000 0.000
Dy1 Dy 0.386 0.000 0.663
Hg1 Hg 0.000 0.000 0.667
Hg2 Hg 0.500 0.000 0.997
```

Principal peaks in the range 2θ from 5° to 70°, in order of rising 2θ:
2theta  I_rel
5.0  20.4
10.0  32.9
25.3  9.3
25.5  34.1
27.5  11.2
29.8  100.0
36.2  30.2
40.1  15.4
45.0  29.7
48.9  10.1
54.8  18.1
55.3  9.6